(1)
For CeThUS5, DFT lattice parameters and positions (PBE) gives the computed powder XRD pattern in this record (Cu Kα X-rays).

Main lines, low angle first (2θ = 10–90°):
hkl 0 2 0, 2θ 23.9, d 3.717, intensity 46.3
hkl 3 1 0, 2θ 25.4, d 3.502, intensity 100.0
hkl 1 1 2, 2θ 26.3, d 3.388, intensity 75.0
hkl 2 0 2, 2θ 26.8, d 3.330, intensity 62.4
hkl 2 2 2, 2θ 36.2, d 2.481, intensity 62.3
hkl 4 0 2, 2θ 37.6, d 2.392, intensity 25.6
hkl 3 3 0, 2θ 43.0, d 2.102, intensity 16.8
hkl 0 0 4, 2θ 45.1, d 2.009, intensity 32.1
hkl 5 1 2, 2θ 45.9, d 1.975, intensity 44.4
hkl 3 1 4, 2θ 52.5, d 1.742, intensity 37.9

Atomic structure:
Cell lengths 11.912, 7.435, 8.035 Å; angles 90.00, 90.00, 90.00 degrees
Space group Pna2_1 (No. 33)
Inequivalent atoms, fractional coordinates:
1 Ce 0.178 0.031 0.000 (multiplicity 4)
2 Th 0.179 0.025 0.502 (multiplicity 4)
3 U 0.006 0.571 0.751 (multiplicity 4)
4 S 0.000 0.041 0.251 (multiplicity 4)
5 S 0.095 0.669 0.459 (multiplicity 4)
6 S 0.099 0.663 0.042 (multiplicity 4)
7 S 0.189 0.334 0.750 (multiplicity 4)
8 S 0.216 0.305 0.252 (multiplicity 4)


(2)
For Sr2CeZrO6, DFT lattice parameters and positions (PBE) gives the computed powder XRD pattern in this record (Cu Kα X-rays).

Main lines, low angle first (2θ = 10–90°):
hkl 1 1 1, 2θ 18.0, d 4.927, intensity 2.5
hkl 2 0 0, 2θ 20.8, d 4.267, intensity 6.1
hkl 2 2 0, 2θ 29.6, d 3.017, intensity 100.0
hkl 4 0 0, 2θ 42.4, d 2.133, intensity 29.6
hkl 4 2 0, 2θ 47.7, d 1.908, intensity 2.4
hkl 4 2 2, 2θ 52.5, d 1.742, intensity 45.8
hkl 4 4 0, 2θ 61.5, d 1.509, intensity 17.0
hkl 6 2 0, 2θ 69.7, d 1.349, intensity 17.9
hkl 4 4 4, 2θ 77.5, d 1.232, intensity 5.4
hkl 6 2 4, 2θ 85.1, d 1.140, intensity 22.5

Atomic structure:
Cell lengths 8.534, 8.534, 8.534 Å; angles 90.00, 90.00, 90.00 degrees
Space group Pn-3 (No. 201, origin choice 2)
Inequivalent atoms, fractional coordinates:
1 Sr 0.250 0.250 0.250 (multiplicity 2)
2 Sr 0.250 0.250 0.750 (multiplicity 6)
3 Ce 0.000 0.000 0.000 (multiplicity 4)
4 Zr 0.000 0.000 0.500 (multiplicity 4)
5 O 0.037 0.544 0.757 (multiplicity 24)


(3)
For ThBi3, DFT lattice parameters and positions (PBE) gives the computed powder XRD pattern in this record (Cu Kα X-rays).

Main lines, low angle first (2θ = 10–90°):
hkl 1 1 1, 2θ 31.2, d 2.870, intensity 100.0
hkl 2 0 0, 2θ 36.1, d 2.485, intensity 51.0
hkl 2 2 0, 2θ 52.0, d 1.757, intensity 37.0
hkl 3 1 1, 2θ 61.9, d 1.499, intensity 44.4
hkl 2 2 2, 2θ 65.0, d 1.435, intensity 12.9
hkl 4 0 0, 2θ 76.7, d 1.243, intensity 6.1
hkl 3 3 1, 2θ 85.1, d 1.140, intensity 19.4
hkl 4 2 0, 2θ 87.8, d 1.111, intensity 18.3

Atomic structure:
Cell lengths 4.970, 4.970, 4.970 Å; angles 90.00, 90.00, 90.00 degrees
Space group Pm-3m (No. 221)
Inequivalent atoms, fractional coordinates:
1 Th 0.000 0.000 0.000 (multiplicity 1)
2 Bi 0.000 0.500 0.500 (multiplicity 3)